[1]
Computed PXRD pattern of PrGaBi for Cu Kα (λ = 1.5418 Å), from a PBE-relaxed structure.
Peak positions follow from Bragg's law for the DFT cell and can differ from measured ones.

Structure:
Cell lengths 6.1559, 6.1559, 6.1559 Å; angles 143.32, 143.32, 52.84 degrees
Sites, in units of the cell vectors:
Pr 0.0000 0.0000 0.0000
Ga 0.3209 0.3209 0.0000
Bi 0.6956 0.6956 0.0000

Most intense lines, 15° ≤ 2θ ≤ 90°, sorted by position:
two_theta	I (rel.)
24.36	25
32.70	60
33.61	100
46.76	11
46.91	22
58.94	40
60.69	13
63.79	9
78.01	10
78.52	9

[2]
Computed PXRD pattern of Be5Cl3 for Cu Kα (λ = 1.5418 Å), from a PBE-relaxed structure.
Peak positions follow from Bragg's law for the DFT cell and can differ from measured ones.

Structure:
Cell lengths 9.1684, 9.1684, 4.4847 Å; angles 90.00, 90.00, 120.00 degrees
Sites, in units of the cell vectors:
Be 0.0000 0.1273 0.2500
Be 0.0000 0.8727 0.7500
Be 0.1273 0.0000 0.2500
Be 0.1273 0.1273 0.7500
Be 0.3333 0.6667 0.0000
Be 0.3333 0.6667 0.5000
Be 0.6667 0.3333 0.0000
Be 0.6667 0.3333 0.5000
Be 0.8727 0.0000 0.7500
Be 0.8727 0.8727 0.2500
Cl 0.0000 0.2684 0.7500
Cl 0.0000 0.7316 0.2500
Cl 0.2684 0.0000 0.7500
Cl 0.2684 0.2684 0.2500
Cl 0.7316 0.0000 0.2500
Cl 0.7316 0.7316 0.7500

Most intense lines, 15° ≤ 2θ ≤ 90°, sorted by position:
two_theta	I (rel.)
22.39	18
27.83	100
29.77	16
33.87	23
36.01	47
40.22	12
45.71	14
54.36	30
62.49	13
69.12	12

[3]
Computed PXRD pattern of Rb5Hg5Au2 for Cu Kα (λ = 1.5418 Å), from a PBE-relaxed structure.
Peak positions follow from Bragg's law for the DFT cell and can differ from measured ones.

Structure:
Cell lengths 9.5799, 9.5799, 13.8399 Å; angles 129.64, 129.64, 30.19 degrees
Sites, in units of the cell vectors:
Rb 0.0000 0.0000 0.0000
Rb 0.3054 0.3054 0.4215
Rb 0.3802 0.3802 0.1810
Rb 0.6198 0.6198 0.8190
Rb 0.6946 0.6946 0.5785
Hg 0.0000 0.0000 0.5000
Hg 0.0660 0.0660 0.3205
Hg 0.2889 0.2889 0.8432
Hg 0.7111 0.7111 0.1568
Hg 0.9340 0.9340 0.6795
Au 0.3857 0.3857 0.7426
Au 0.6143 0.6143 0.2574

Most intense lines, 15° ≤ 2θ ≤ 90°, sorted by position:
two_theta	I (rel.)
18.92	48
19.51	57
26.26	96
27.60	37
28.35	81
30.15	36
32.89	100
36.00	56
38.77	30
52.78	32

[4]
Computed PXRD pattern of BaPuAs2 for Cu Kα (λ = 1.5418 Å), from a PBE-relaxed structure.
Peak positions follow from Bragg's law for the DFT cell and can differ from measured ones.

Structure:
Cell lengths 4.3186, 4.3186, 7.7163 Å; angles 90.00, 90.00, 120.00 degrees
Sites, in units of the cell vectors:
Ba 0.0000 0.0000 0.0000
Pu 0.0000 0.0000 0.5000
As 0.3333 0.6667 0.7011
As 0.6667 0.3333 0.2989

Most intense lines, 15° ≤ 2θ ≤ 90°, sorted by position:
two_theta	I (rel.)
23.05	12
23.79	51
26.48	21
33.37	100
41.83	38
48.30	11
53.44	18
54.53	25
64.81	14
71.02	23

[5]
Computed PXRD pattern of Tb6PSe12 for Cu Kα (λ = 1.5418 Å), from a PBE-relaxed structure.
Peak positions follow from Bragg's law for the DFT cell and can differ from measured ones.

Structure:
Cell lengths 8.0653, 8.0653, 8.0653 Å; angles 98.07, 98.07, 98.07 degrees
Sites, in units of the cell vectors:
Tb 0.1428 0.6347 0.8146
Tb 0.1854 0.8572 0.3653
Tb 0.3653 0.1854 0.8572
Tb 0.6347 0.8146 0.1428
Tb 0.8146 0.1428 0.6347
Tb 0.8572 0.3653 0.1854
P 0.5000 0.5000 0.5000
Se 0.0683 0.3164 0.9230
Se 0.0770 0.9317 0.6836
Se 0.1780 0.5132 0.4597
Se 0.3164 0.9230 0.0683
Se 0.4597 0.1780 0.5132
Se 0.4868 0.5403 0.8220
Se 0.5132 0.4597 0.1780
Se 0.5403 0.8220 0.4868
Se 0.6836 0.0770 0.9317
Se 0.8220 0.4868 0.5403
Se 0.9230 0.0683 0.3164
Se 0.9317 0.6836 0.0770

Most intense lines, 15° ≤ 2θ ≤ 90°, sorted by position:
two_theta	I (rel.)
23.54	100
26.92	28
31.37	34
31.50	42
34.17	57
37.84	69
39.13	60
40.26	28
43.50	27
71.65	28

[6]
Computed PXRD pattern of Ac7SnPb2 for Cu Kα (λ = 1.5418 Å), from a PBE-relaxed structure.
Peak positions follow from Bragg's law for the DFT cell and can differ from measured ones.

Structure:
Cell lengths 8.8290, 8.8290, 8.8290 Å; angles 60.00, 60.00, 60.00 degrees
Sites, in units of the cell vectors:
Ac 0.0000 0.0000 0.0000
Ac 0.2523 0.2523 0.7477
Ac 0.2523 0.7477 0.2523
Ac 0.2523 0.7477 0.7477
Ac 0.7477 0.2523 0.2523
Ac 0.7477 0.2523 0.7477
Ac 0.7477 0.7477 0.2523
Sn 0.5000 0.5000 0.5000
Pb 0.2500 0.2500 0.2500
Pb 0.7500 0.7500 0.7500

Most intense lines, 15° ≤ 2θ ≤ 90°, sorted by position:
two_theta	I (rel.)
24.70	86
28.60	100
40.88	78
48.35	44
50.65	28
59.20	14
65.13	18
67.04	38
74.45	28
79.83	14

[7]
Computed PXRD pattern of DyTm3Rh2 for Cu Kα (λ = 1.5418 Å), from a PBE-relaxed structure.
Peak positions follow from Bragg's law for the DFT cell and can differ from measured ones.

Structure:
Cell lengths 4.5673, 8.6756, 7.1527 Å; angles 90.00, 90.00, 90.00 degrees
Sites, in units of the cell vectors:
Dy 0.0000 0.0850 0.0000
Dy 0.0000 0.9150 0.5000
Tm 0.0000 0.3307 0.6295
Tm 0.0000 0.6693 0.1295
Tm 0.5000 0.1721 0.3468
Tm 0.5000 0.4152 0.9756
Tm 0.5000 0.5848 0.4756
Tm 0.5000 0.8279 0.8468
Rh 0.0000 0.3437 0.2319
Rh 0.0000 0.6563 0.7319
Rh 0.5000 0.1593 0.7435
Rh 0.5000 0.8407 0.2435

Most intense lines, 15° ≤ 2θ ≤ 90°, sorted by position:
two_theta	I (rel.)
31.06	100
31.78	35
32.45	17
33.45	95
36.79	43
39.19	21
39.46	48
56.79	27
61.23	19
69.76	19

[8]
Computed PXRD pattern of Rb2CeBeO4 for Cu Kα (λ = 1.5418 Å), from a PBE-relaxed structure.
Peak positions follow from Bragg's law for the DFT cell and can differ from measured ones.

Structure:
Cell lengths 6.1052, 6.6855, 7.0086 Å; angles 90.00, 90.00, 90.00 degrees
Sites, in units of the cell vectors:
Rb 0.2500 0.0013 0.2027
Rb 0.2500 0.4987 0.2027
Rb 0.7500 0.5013 0.7973
Rb 0.7500 0.9987 0.7973
Ce 0.2500 0.2500 0.6453
Ce 0.7500 0.7500 0.3547
Be 0.2500 0.7500 0.6730
Be 0.7500 0.2500 0.3270
O 0.0272 0.7500 0.5325
O 0.2500 0.5297 0.8018
O 0.2500 0.9703 0.8018
O 0.4728 0.7500 0.5325
O 0.5272 0.2500 0.4675
O 0.7500 0.0297 0.1982
O 0.7500 0.4703 0.1982
O 0.9728 0.2500 0.4675

Most intense lines, 15° ≤ 2θ ≤ 90°, sorted by position:
two_theta	I (rel.)
18.34	26
19.69	41
25.42	25
29.26	56
29.39	51
29.61	36
33.12	100
39.14	27
54.38	24
56.75	32

[9]
Computed PXRD pattern of Sr6Ho for Cu Kα (λ = 1.5418 Å), from a PBE-relaxed structure.
Peak positions follow from Bragg's law for the DFT cell and can differ from measured ones.

Structure:
Cell lengths 8.6643, 8.6643, 8.6643 Å; angles 109.47, 109.47, 109.47 degrees
Sites, in units of the cell vectors:
Sr 0.2500 0.5000 0.7500
Sr 0.2500 0.7500 0.5000
Sr 0.5000 0.2500 0.7500
Sr 0.5000 0.7500 0.2500
Sr 0.7500 0.2500 0.5000
Sr 0.7500 0.5000 0.2500
Ho 0.0000 0.0000 0.0000

Most intense lines, 15° ≤ 2θ ≤ 90°, sorted by position:
two_theta	I (rel.)
17.73	40
21.76	100
33.51	67
35.90	29
40.32	20
42.38	17
49.93	22
51.68	20
56.72	22
68.98	16

[10]
Computed PXRD pattern of HoSb2As2Pd7 for Cu Kα (λ = 1.5418 Å), from a PBE-relaxed structure.
Peak positions follow from Bragg's law for the DFT cell and can differ from measured ones.

Structure:
Cell lengths 3.9760, 3.9760, 15.6144 Å; angles 97.25, 97.25, 90.04 degrees
Sites, in units of the cell vectors:
Ho 0.0000 0.0000 0.0000
Sb 0.2125 0.2125 0.4268
Sb 0.7875 0.7875 0.5732
As 0.3821 0.3821 0.7621
As 0.6179 0.6179 0.2379
Pd 0.0701 0.5701 0.1419
Pd 0.3013 0.3013 0.6017
Pd 0.4299 0.9299 0.8581
Pd 0.5000 0.5000 0.0000
Pd 0.5701 0.0701 0.1419
Pd 0.6987 0.6987 0.3983
Pd 0.9299 0.4299 0.8581

Most intense lines, 15° ≤ 2θ ≤ 90°, sorted by position:
two_theta	I (rel.)
29.06	36
31.83	32
32.37	44
33.96	47
36.46	93
39.73	56
41.13	33
43.64	87
45.63	100
63.10	36

[11]
Computed PXRD pattern of TbSmCoSi for Cu Kα (λ = 1.5418 Å), from a PBE-relaxed structure.
Peak positions follow from Bragg's law for the DFT cell and can differ from measured ones.

Structure:
Cell lengths 7.4467, 7.4467, 7.4467 Å; angles 31.19, 31.19, 31.19 degrees
Sites, in units of the cell vectors:
Tb 0.0000 0.0000 0.0000
Sm 0.1726 0.1726 0.1726
Co 0.7523 0.7523 0.7523
Si 0.4163 0.4163 0.4163

Most intense lines, 15° ≤ 2θ ≤ 90°, sorted by position:
two_theta	I (rel.)
25.16	29
26.04	85
30.80	56
33.36	100
39.47	49
45.30	63
52.51	25
57.40	21
71.10	31
75.99	18

[12]
Computed PXRD pattern of Ba8Cd2Ga for Cu Kα (λ = 1.5418 Å), from a PBE-relaxed structure.
Peak positions follow from Bragg's law for the DFT cell and can differ from measured ones.

Structure:
Cell lengths 11.0580, 11.0580, 8.3831 Å; angles 107.55, 107.55, 31.81 degrees
Sites, in units of the cell vectors:
Ba 0.0301 0.0301 0.3033
Ba 0.2053 0.2053 0.8126
Ba 0.3372 0.3372 0.5369
Ba 0.4084 0.4084 0.0683
Ba 0.5916 0.5916 0.9317
Ba 0.6628 0.6628 0.4631
Ba 0.7947 0.7947 0.1874
Ba 0.9699 0.9699 0.6967
Cd 0.1834 0.1834 0.2082
Cd 0.8166 0.8166 0.7919
Ga 0.5000 0.5000 0.5000

Most intense lines, 15° ≤ 2θ ≤ 90°, sorted by position:
two_theta	I (rel.)
23.73	23
24.67	71
25.96	100
26.51	88
26.59	38
28.31	66
29.47	90
29.99	53
35.48	19
56.03	21